Entry 1:
Structure and computed PXRD pattern of NpZnGeO (a PBE-relaxed structure; Cu Kα, 1.54184 Å).

Crystal structure
```
NpZnGeO
1.0
3.9407 0.0000 0.0000
0.0000 3.9407 0.0000
0.0000 0.0000 8.5626
Np Zn Ge O
2 2 2 2
Direct
0.2500 0.2500 0.1416
0.7500 0.7500 0.8584
0.2500 0.7500 0.5000
0.7500 0.2500 0.5000
0.2500 0.2500 0.6930
0.7500 0.7500 0.3070
0.2500 0.7500 0.0000
0.7500 0.2500 0.0000
```

Main lines, in order of rising 2θ (10° ≤ 2θ ≤ 90°):
two_theta, I (rel.)
10.33, 16
24.87, 26
30.84, 100
32.12, 28
33.83, 31
38.55, 27
38.96, 14
46.07, 34
54.02, 23
56.47, 37



Entry 2:
Structure and computed PXRD pattern of La2Tb2Er3 (a PBE-relaxed structure; Cu Kα, 1.54184 Å).

Crystal structure
```
La2Tb2Er3
1.0
6.4192 0.0000 0.0000
0.0000 11.6477 0.0000
-0.7810 0.0000 6.3026
La Tb Er
4 4 6
Direct
0.0209 0.1482 0.4671
0.0209 0.3518 0.9671
0.9791 0.6482 0.0329
0.9791 0.8518 0.5329
0.4076 0.7224 0.7072
0.4076 0.7776 0.2072
0.5924 0.2224 0.7928
0.5924 0.2776 0.2928
0.2451 0.0398 0.9678
0.2451 0.4602 0.4678
0.5000 0.0000 0.5000
0.5000 0.5000 0.0000
0.7549 0.5398 0.5322
0.7549 0.9602 0.0322
```

Main lines, in order of rising 2θ (10° ≤ 2θ ≤ 90°):
two_theta, I (rel.)
26.92, 38
28.32, 15
29.06, 16
29.63, 13
30.83, 52
31.28, 40
32.30, 39
33.88, 100
36.11, 20
49.56, 18



Entry 3:
Structure and computed PXRD pattern of Ba8RhAu4 (a PBE-relaxed structure; Cu Kα, 1.54184 Å).

Crystal structure
```
Ba8RhAu4
1.0
4.7135 2.7214 7.5521
-4.7135 2.7214 7.5521
0.0000 -5.4427 7.5521
Ba Rh Au
8 1 4
Direct
0.2352 0.7610 0.7610
0.2390 0.2390 0.7648
0.2390 0.7648 0.2390
0.2458 0.2458 0.2458
0.7542 0.7542 0.7542
0.7610 0.2352 0.7610
0.7610 0.7610 0.2352
0.7648 0.2390 0.2390
0.0000 0.0000 0.0000
0.0000 0.0000 0.5000
0.0000 0.5000 0.0000
0.5000 0.0000 0.0000
0.5000 0.5000 0.5000
```

Main lines, in order of rising 2θ (10° ≤ 2θ ≤ 90°):
two_theta, I (rel.)
11.72, 25
22.13, 20
26.92, 100
38.19, 39
38.70, 38
47.34, 21
55.50, 13
62.38, 18
63.09, 18
69.36, 13